Theoretical XRD peak list of Rb2NiAuBr6 for Cu Kα X-rays, from a DFT-relaxed cell (PBE, Alexandria).
Intensities are scaled so that the largest is 100.

Structure:
a = 7.5728 Å, b = 7.5728 Å, c = 10.6130 Å
α = 90.00°, β = 90.00°, γ = 90.00°
Space group I4/mmm (No. 139)
Unique sites:
Rb1 0.0000 0.5000 0.2500 (multiplicity 4)
Ni1 0.0000 0.0000 0.0000 (multiplicity 2)
Au1 0.0000 0.0000 0.5000 (multiplicity 2)
Br1 0.0000 0.0000 0.2600 (multiplicity 4)
Br2 0.2267 0.2267 0.0000 (multiplicity 8)

Main lines, sorted by position (2θ = 15–90°):
| two_theta | I/Imax | index |
| --- | --- | --- |
| 16.6 | 46 | 1 1 0 |
| 23.5 | 24 | 2 0 0 |
| 23.6 | 47 | 1 1 2 |
| 27.6 | 28 | 2 1 1 |
| 29.0 | 55 | 2 0 2 |
| 33.5 | 100 | 2 2 0 |
| 33.8 | 51 | 0 0 4 |
| 48.1 | 33 | 4 0 0 |
| 48.3 | 69 | 2 2 4 |
| 60.0 | 34 | 4 0 4 |